1.
# KRb2NiH6
Calculated X-ray diffraction stick pattern, Cu Ka. Input: a structure optimized by DFT (PBE).
No peak broadening, texture or thermal motion is included.

Top 10 peaks for 2θ = 10–90°, in order of rising 2θ:
2θ = 13.08°, d 6.771, rel. 59
2θ = 21.52°, d 4.129, rel. 82
2θ = 29.70°, d 3.008, rel. 100
2θ = 31.52°, d 2.839, rel. 80
2θ = 32.57°, d 2.749, rel. 35
2θ = 36.97°, d 2.431, rel. 22
2θ = 43.85°, d 2.065, rel. 33
2θ = 48.12°, d 1.891, rel. 18
2θ = 52.70°, d 1.737, rel. 18
2θ = 53.86°, d 1.702, rel. 33

Structural model:
```
10
Lattice="6.016 0.000 0.000 -3.008 5.210 0.000 0.000 0.000 6.771" Properties=species:S:1:pos:R:3 pbc="T T T"
K 0.000 0.000 0.000
Rb 0.000 3.473 2.421
Rb 3.008 1.737 4.350
Ni 0.000 0.000 3.385
H 0.000 1.248 4.284
H -1.928 4.586 4.284
H 1.081 0.624 2.487
H 1.928 4.586 4.284
H 4.936 0.624 2.487
H 3.008 3.962 2.487
```


2.
# Pr2Al5Ni3
Calculated X-ray diffraction stick pattern, Cu Ka. Input: a structure optimized by DFT (PBE).
No peak broadening, texture or thermal motion is included.

Top 10 peaks for 2θ = 10–90°, in order of rising 2θ:
2θ = 19.39°, d 4.577, rel. 21
2θ = 23.56°, d 3.776, rel. 34
2θ = 34.37°, d 2.609, rel. 32
2θ = 35.42°, d 2.534, rel. 78
2θ = 35.93°, d 2.499, rel. 100
2θ = 38.21°, d 2.355, rel. 38
2θ = 38.59°, d 2.333, rel. 26
2θ = 42.77°, d 2.114, rel. 38
2θ = 55.11°, d 1.667, rel. 16
2θ = 58.68°, d 1.573, rel. 21

Structural model:
```
20
Lattice="2.114 -12.589 0.000 2.114 12.589 0.000 0.000 0.000 6.668" Properties=species:S:1:pos:R:3 pbc="T T T"
Pr 2.114 12.036 3.334
Pr 2.114 4.411 3.018
Pr 2.114 -4.411 6.352
Pr 2.114 -12.036 0.000
Al 2.114 10.075 0.893
Al 2.114 7.360 4.256
Al 2.114 7.220 1.640
Al 2.114 3.282 6.471
Al 2.114 1.452 2.220
Al 2.114 -1.452 5.554
Al 2.114 -3.282 3.137
Al 2.114 -7.220 4.974
Al 2.114 -7.360 0.922
Al 2.114 -10.075 4.227
Ni 2.114 9.829 5.005
Ni 2.114 5.727 6.277
Ni 2.114 1.328 4.741
Ni 2.114 -1.328 1.407
Ni 2.114 -5.727 2.943
Ni 2.114 -9.829 1.671
```


3.
# TlZn2Si
Calculated X-ray diffraction stick pattern, Cu Ka. Input: a structure optimized by DFT (PBE).
No peak broadening, texture or thermal motion is included.

Top 10 peaks for 2θ = 10–90°, in order of rising 2θ:
2θ = 17.83°, d 4.974, rel. 100
2θ = 34.96°, d 2.566, rel. 60
2θ = 36.12°, d 2.487, rel. 87
2θ = 36.74°, d 2.446, rel. 83
2θ = 42.10°, d 2.146, rel. 56
2θ = 42.75°, d 2.115, rel. 27
2θ = 46.62°, d 1.948, rel. 18
2θ = 61.55°, d 1.507, rel. 36
2θ = 72.65°, d 1.301, rel. 22
2θ = 73.81°, d 1.284, rel. 21

Structural model:
```
4
Lattice="3.074 -4.231 0.000 3.074 4.231 0.000 0.000 0.000 2.998" Properties=species:S:1:pos:R:3 pbc="T T T"
Tl 0.000 0.000 0.000
Zn 1.537 2.115 1.499
Zn 1.537 -2.115 1.499
Si 3.074 0.000 0.000
```